1.
Diffraction record for Ti2TeS. The XRD peak list is computed, not measured: it uses a crystal structure in Alexandria, relaxed with PBE and λ = 1.5418 Å (Cu Kα).
Kinematic intensities with the Lorentz-polarization factor, no thermal factor.

Top 10 peaks for 2θ = 5–70°, by angle:
2theta	Rel. int.
16.45	28
20.31	28
28.01	58
29.13	100
34.85	85
35.59	69
37.07	70
43.34	69
50.26	31
52.33	43

Structure:
Cell lengths 6.440, 6.440, 6.440 Å; angles 135.75, 76.88, 120.71 degrees
Positions (direct):
Ti 0.096 0.250 0.346
Ti 0.543 0.914 0.129
Ti 0.785 0.414 0.871
Ti 0.904 0.750 0.654
Te 0.328 0.199 0.628
Te 0.571 0.699 0.372
S 0.178 0.786 0.893
S 0.893 0.286 0.107


2.
Diffraction record for Sn3Pd3Pt. The XRD peak list is computed, not measured: it uses a crystal structure in Alexandria, relaxed with PBE and λ = 1.5418 Å (Cu Kα).
Kinematic intensities with the Lorentz-polarization factor, no thermal factor.

Top 10 peaks for 2θ = 5–70°, by angle:
2theta	Rel. int.
26.12	15
32.84	42
34.58	25
35.96	27
38.84	100
39.45	70
40.94	24
41.41	56
42.06	15
59.64	16

Structure:
Cell lengths 10.951, 4.361, 11.061 Å; angles 90.00, 90.00, 90.00 degrees
Positions (direct):
Sn 0.086 0.250 0.083
Sn 0.091 0.250 0.583
Sn 0.211 0.750 0.326
Sn 0.289 0.250 0.826
Sn 0.409 0.750 0.083
Sn 0.414 0.750 0.583
Sn 0.586 0.250 0.417
Sn 0.591 0.250 0.917
Sn 0.711 0.750 0.174
Sn 0.789 0.250 0.674
Sn 0.909 0.750 0.417
Sn 0.914 0.750 0.917
Pd 0.059 0.250 0.337
Pd 0.191 0.750 0.960
Pd 0.197 0.750 0.699
Pd 0.303 0.250 0.199
Pd 0.309 0.250 0.460
Pd 0.441 0.750 0.837
Pd 0.559 0.250 0.163
Pd 0.691 0.750 0.540
Pd 0.697 0.750 0.801
Pd 0.803 0.250 0.301
Pd 0.809 0.250 0.040
Pd 0.941 0.750 0.663
Pt 0.035 0.250 0.834
Pt 0.465 0.750 0.334
Pt 0.535 0.250 0.666
Pt 0.965 0.750 0.166